Entry 1:
# Dy2Ho2CCl5
Theoretical powder X-ray diffraction pattern, Cu Kα. Input: a cell relaxed with PBE.
Intensities are scaled so that the largest is 100.

Top 10 peaks for 2θ from 15° to 90°, low angle first:
| 2θ/deg | I (rel.) |
| --- | --- |
| 28.20 | 19 |
| 29.06 | 41 |
| 29.92 | 19 |
| 32.59 | 45 |
| 32.87 | 30 |
| 33.40 | 100 |
| 36.47 | 21 |
| 42.66 | 30 |
| 47.27 | 26 |
| 47.46 | 28 |

Structure:
Unit cell a=8.6786 b=8.6786 c=7.7734 alpha=103.26 beta=103.26 gamma=24.66
Fractional positions:
Dy 0.1446 0.1446 0.0798
Dy 0.8554 0.8554 0.9202
Ho 0.4989 0.4989 0.2097
Ho 0.5011 0.5011 0.7903
C 0.0000 0.0000 0.0000
Cl 0.0000 0.0000 0.5000
Cl 0.3292 0.3292 0.1622
Cl 0.3361 0.3361 0.6610
Cl 0.6639 0.6639 0.3390
Cl 0.6708 0.6708 0.8378

---

Entry 2:
# NbAsWC
Theoretical powder X-ray diffraction pattern, Cu Kα. Input: a cell relaxed with PBE.
Intensities are scaled so that the largest is 100.

Top 10 peaks for 2θ from 15° to 90°, low angle first:
| 2θ/deg | I (rel.) |
| --- | --- |
| 31.21 | 27 |
| 32.12 | 10 |
| 38.71 | 100 |
| 43.78 | 8 |
| 45.55 | 12 |
| 55.54 | 25 |
| 56.25 | 12 |
| 69.75 | 18 |
| 74.57 | 17 |
| 79.58 | 10 |

Structure:
Unit cell a=3.3091 b=3.3091 c=11.9487 alpha=90.00 beta=90.00 gamma=120.00
Fractional positions:
Nb 0.3333 0.6667 0.0959
Nb 0.6667 0.3333 0.9041
As 0.3333 0.6667 0.7424
As 0.6667 0.3333 0.2576
W 0.3333 0.6667 0.4133
W 0.6667 0.3333 0.5867
C 0.0000 0.0000 0.0000
C 0.0000 0.0000 0.5000

---

Entry 3:
# TbSiHO4
Theoretical powder X-ray diffraction pattern, Cu Kα. Input: a cell relaxed with PBE.
Intensities are scaled so that the largest is 100.

Top 10 peaks for 2θ from 15° to 90°, low angle first:
| 2θ/deg | I (rel.) |
| --- | --- |
| 17.62 | 27 |
| 21.11 | 93 |
| 26.80 | 21 |
| 29.22 | 100 |
| 30.82 | 28 |
| 31.55 | 73 |
| 37.62 | 47 |
| 46.31 | 31 |
| 47.27 | 34 |
| 50.91 | 28 |

Structure:
Unit cell a=9.2277 b=9.2277 c=9.2277 alpha=112.57 beta=112.57 gamma=112.57
Fractional positions:
Tb 0.0978 0.5680 0.3591
Tb 0.3591 0.0978 0.5680
Tb 0.4320 0.6409 0.9022
Tb 0.5680 0.3591 0.0978
Tb 0.6409 0.9022 0.4320
Tb 0.9022 0.4320 0.6409
Si 0.1501 0.2405 0.8032
Si 0.1968 0.8499 0.7595
Si 0.2405 0.8032 0.1501
Si 0.7595 0.1968 0.8499
Si 0.8032 0.1501 0.2405
Si 0.8499 0.7595 0.1968
H 0.0723 0.1718 0.3350
H 0.1718 0.3350 0.0723
H 0.3350 0.0723 0.1718
H 0.6650 0.9277 0.8282
H 0.8282 0.6650 0.9277
H 0.9277 0.8282 0.6650
O 0.0133 0.6560 0.9495
O 0.0487 0.2713 0.3394
O 0.0505 0.9867 0.3440
O 0.1188 0.3942 0.7805
O 0.2005 0.6577 0.7044
O 0.2195 0.8812 0.6058
O 0.2713 0.3394 0.0487
O 0.2956 0.7995 0.3423
O 0.3394 0.0487 0.2713
O 0.3423 0.2956 0.7995
O 0.3440 0.0505 0.9867
O 0.3942 0.7805 0.1188
O 0.6058 0.2195 0.8812
O 0.6560 0.9495 0.0133
O 0.6577 0.7044 0.2005
O 0.6606 0.9513 0.7287
O 0.7044 0.2005 0.6577
O 0.7287 0.6606 0.9513
O 0.7805 0.1188 0.3942
O 0.7995 0.3423 0.2956
O 0.8812 0.6058 0.2195
O 0.9495 0.0133 0.6560
O 0.9513 0.7287 0.6606
O 0.9867 0.3440 0.0505

---

Entry 4:
# CsYZnTe3
Theoretical powder X-ray diffraction pattern, Cu Kα. Input: a cell relaxed with PBE.
Intensities are scaled so that the largest is 100.

Top 10 peaks for 2θ from 15° to 90°, low angle first:
| 2θ/deg | I (rel.) |
| --- | --- |
| 25.03 | 36 |
| 25.42 | 28 |
| 25.60 | 31 |
| 26.55 | 100 |
| 30.55 | 27 |
| 31.03 | 28 |
| 36.39 | 36 |
| 40.92 | 27 |
| 46.66 | 37 |
| 48.21 | 30 |

Structure:
Unit cell a=8.9295 b=8.9295 c=11.7056 alpha=90.00 beta=90.00 gamma=151.40
Fractional positions:
Cs 0.2470 0.7530 0.7500
Cs 0.7530 0.2470 0.2500
Y 0.5000 0.5000 0.0000
Y 0.5000 0.5000 0.5000
Zn 0.0360 0.9640 0.2500
Zn 0.9640 0.0360 0.7500
Te 0.1195 0.8805 0.0586
Te 0.1195 0.8805 0.4414
Te 0.4393 0.5607 0.2500
Te 0.5607 0.4393 0.7500
Te 0.8805 0.1195 0.5586
Te 0.8805 0.1195 0.9414

---

Entry 5:
# ErTmPd
Theoretical powder X-ray diffraction pattern, Cu Kα. Input: a cell relaxed with PBE.
Intensities are scaled so that the largest is 100.

Top 10 peaks for 2θ from 15° to 90°, low angle first:
| 2θ/deg | I (rel.) |
| --- | --- |
| 30.58 | 100 |
| 31.60 | 41 |
| 32.93 | 20 |
| 33.30 | 85 |
| 33.63 | 25 |
| 36.32 | 55 |
| 37.33 | 60 |
| 40.03 | 19 |
| 51.11 | 15 |
| 61.58 | 21 |

Structure:
Unit cell a=6.9981 b=4.8176 c=8.6462 alpha=90.00 beta=90.00 gamma=90.00
Fractional positions:
Er 0.1450 0.2500 0.0799
Er 0.3550 0.7500 0.5799
Er 0.6450 0.2500 0.4201
Er 0.8550 0.7500 0.9201
Tm 0.0162 0.2500 0.6717
Tm 0.4838 0.7500 0.1717
Tm 0.5162 0.2500 0.8283
Tm 0.9838 0.7500 0.3283
Pd 0.2404 0.2500 0.4051
Pd 0.2596 0.7500 0.9051
Pd 0.7404 0.2500 0.0949
Pd 0.7596 0.7500 0.5949

---

Entry 6:
# Pa4Ga12Os
Theoretical powder X-ray diffraction pattern, Cu Kα. Input: a cell relaxed with PBE.
Intensities are scaled so that the largest is 100.

Top 10 peaks for 2θ from 15° to 90°, low angle first:
| 2θ/deg | I (rel.) |
| --- | --- |
| 20.65 | 20 |
| 29.36 | 77 |
| 36.17 | 100 |
| 39.18 | 16 |
| 42.01 | 75 |
| 52.08 | 27 |
| 60.91 | 46 |
| 69.04 | 20 |
| 72.94 | 32 |
| 84.22 | 20 |

Structure:
Unit cell a=7.4507 b=7.4507 c=7.4507 alpha=109.47 beta=109.47 gamma=109.47
Fractional positions:
Pa 0.0000 0.0000 0.5000
Pa 0.0000 0.5000 0.0000
Pa 0.5000 0.0000 0.0000
Pa 0.5000 0.5000 0.5000
Ga 0.0000 0.2949 0.2949
Ga 0.0000 0.7051 0.7051
Ga 0.2500 0.5000 0.7500
Ga 0.2500 0.7500 0.5000
Ga 0.2949 0.0000 0.2949
Ga 0.2949 0.2949 0.0000
Ga 0.5000 0.2500 0.7500
Ga 0.5000 0.7500 0.2500
Ga 0.7051 0.0000 0.7051
Ga 0.7051 0.7051 0.0000
Ga 0.7500 0.2500 0.5000
Ga 0.7500 0.5000 0.2500
Os 0.0000 0.0000 0.0000

---

Entry 7:
# Tl3Sn2Pt2
Theoretical powder X-ray diffraction pattern, Cu Kα. Input: a cell relaxed with PBE.
Intensities are scaled so that the largest is 100.

Top 10 peaks for 2θ from 15° to 90°, low angle first:
| 2θ/deg | I (rel.) |
| --- | --- |
| 19.58 | 16 |
| 21.66 | 21 |
| 29.36 | 27 |
| 36.94 | 91 |
| 37.98 | 100 |
| 43.08 | 13 |
| 54.02 | 31 |
| 64.74 | 19 |
| 67.93 | 32 |
| 68.61 | 18 |

Structure:
Unit cell a=4.7381 b=4.7381 c=18.1327 alpha=90.00 beta=90.00 gamma=120.00
Fractional positions:
Tl 0.0000 0.0000 0.1564
Tl 0.0000 0.0000 0.3436
Tl 0.0000 0.0000 0.6564
Tl 0.0000 0.0000 0.8436
Tl 0.3333 0.6667 0.2500
Tl 0.6667 0.3333 0.7500
Sn 0.3333 0.6667 0.5508
Sn 0.3333 0.6667 0.9492
Sn 0.6667 0.3333 0.0508
Sn 0.6667 0.3333 0.4492
Pt 0.0000 0.0000 0.0000
Pt 0.0000 0.0000 0.5000
Pt 0.3333 0.6667 0.7500
Pt 0.6667 0.3333 0.2500

---

Entry 8:
# ZnHgIr2
Theoretical powder X-ray diffraction pattern, Cu Kα. Input: a cell relaxed with PBE.
Intensities are scaled so that the largest is 100.

Top 10 peaks for 2θ from 15° to 90°, low angle first:
| 2θ/deg | I (rel.) |
| --- | --- |
| 24.19 | 8 |
| 28.01 | 5 |
| 40.02 | 100 |
| 47.31 | 4 |
| 49.56 | 1 |
| 57.89 | 17 |
| 63.65 | 2 |
| 65.51 | 2 |
| 72.70 | 35 |
| 86.37 | 11 |

Structure:
Unit cell a=6.3721 b=6.3721 c=6.3721 alpha=90.00 beta=90.00 gamma=90.00
Fractional positions:
Zn 0.0000 0.0000 0.0000
Zn 0.0000 0.5000 0.5000
Zn 0.5000 0.0000 0.5000
Zn 0.5000 0.5000 0.0000
Hg 0.2500 0.2500 0.7500
Hg 0.2500 0.7500 0.2500
Hg 0.7500 0.2500 0.2500
Hg 0.7500 0.7500 0.7500
Ir 0.0000 0.0000 0.5000
Ir 0.0000 0.5000 0.0000
Ir 0.2500 0.2500 0.2500
Ir 0.2500 0.7500 0.7500
Ir 0.5000 0.0000 0.0000
Ir 0.5000 0.5000 0.5000
Ir 0.7500 0.2500 0.7500
Ir 0.7500 0.7500 0.2500